Diffraction record for Sm4MgV4O12. The X-ray powder pattern is theoretical, not measured: it uses a PBE+U-relaxed structure and copper Kα.

Top 10 peaks for 2θ from 10° to 90°, sorted by position:
| hkl | 2θ/deg | I_rel |
| --- | --- | --- |
| 1 1 0 | 20.31 | 34 |
| 0 0 2 | 22.80 | 39 |
| -1 1 1 | 25.46 | 28 |
| 0 2 0 | 30.38 | 100 |
| 2 0 0 | 30.73 | 46 |
| 1 1 -2 | 31.08 | 70 |
| 1 -1 2 | 32.17 | 52 |
| -1 1 2 | 32.48 | 54 |
| 2 2 0 | 41.29 | 29 |
| 0 0 4 | 46.58 | 27 |

```
21
Lattice="5.854 0.000 0.000 0.627 5.879 0.000 0.184 0.068 7.799" Properties=species:S:1:pos:R:3 pbc="T T T"
Sm 0.000 0.000 0.000
Sm 0.758 5.182 3.574
Sm 3.119 2.906 0.144
Sm 4.188 2.598 4.038
Mg 1.560 1.411 4.247
V 0.577 2.732 1.954
V 0.789 2.985 6.113
V 3.755 5.793 2.011
V 3.853 5.676 6.012
O 0.548 3.088 4.033
O 0.891 2.052 0.104
O 1.874 4.636 1.607
O 2.158 4.576 6.595
O 2.429 1.775 2.467
O 2.714 1.848 5.713
O 3.149 5.455 4.055
O 3.530 0.407 0.080
O 4.794 3.962 6.237
O 4.719 4.034 1.991
O 5.063 0.996 2.371
O 5.595 0.917 5.316
```